Record 1
The following is a calculated powder X-ray diffraction pattern of K3RbCu2P2. It was derived from a crystal structure in OQMD, relaxed with PBE, using copper Kα.
Lines closer than 0.1° are merged.

a = 6.178 Å, b = 5.811 Å, c = 6.234 Å
α = 90.00°, β = 106.45°, γ = 90.00°
Space group Pm (No. 6)
Unique sites:
K1 0.000 0.000 0.000 (multiplicity 1)
K2 0.290 0.500 0.289 (multiplicity 1)
K3 0.631 0.500 0.955 (multiplicity 1)
Rb1 0.344 0.000 0.664 (multiplicity 1)
Cu1 0.812 0.251 0.476 (multiplicity 2)
P1 0.041 0.500 0.710 (multiplicity 1)
P2 0.590 0.000 0.237 (multiplicity 1)

The 10 most intense peaks (2θ from 15° to 90°), low angle first:
2θ = 28.5°, intensity 100, hkl 1 1 1
2θ = 29.4°, intensity 68, hkl 1 0 -2
2θ = 29.6°, intensity 78, hkl 2 0 -1
2θ = 33.3°, intensity 72, hkl 1 1 -2
2θ = 33.5°, intensity 67, hkl 2 1 -1
2θ = 34.4°, intensity 98, hkl 1 2 0
2θ = 35.8°, intensity 42, hkl 1 2 -1
2θ = 39.4°, intensity 54, hkl 1 2 1
2θ = 55.9°, intensity 33, hkl 0 2 3
2θ = 56.3°, intensity 48, hkl 3 2 0

---

Record 2
The following is a calculated powder X-ray diffraction pattern of Ba4LiMo2N7. It was derived from a crystal structure in OQMD, relaxed with PBE, using copper Kα.
Lines closer than 0.1° are merged.

a = 10.449 Å, b = 6.450 Å, c = 17.289 Å
α = 90.00°, β = 117.34°, γ = 90.00°
Space group P2/c (No. 13)
Unique sites:
Ba1 0.000 0.010 0.250 (multiplicity 2)
Ba2 0.197 0.152 0.621 (multiplicity 4)
Ba3 0.239 0.281 0.985 (multiplicity 4)
Ba4 0.346 0.226 0.424 (multiplicity 4)
Ba5 0.500 0.306 0.250 (multiplicity 2)
Li1 0.137 0.462 0.760 (multiplicity 4)
Mo1 0.020 0.330 0.099 (multiplicity 4)
Mo2 0.453 0.228 0.847 (multiplicity 4)
N1 0.000 0.500 0.000 (multiplicity 2)
N2 0.067 0.475 0.346 (multiplicity 4)
N3 0.074 0.075 0.434 (multiplicity 4)
N4 0.210 0.282 0.177 (multiplicity 4)
N5 0.256 0.184 0.808 (multiplicity 4)
N6 0.441 0.012 0.582 (multiplicity 4)
N7 0.480 0.471 0.590 (multiplicity 4)
N8 0.500 0.244 0.750 (multiplicity 2)

The 10 most intense peaks (2θ from 15° to 90°), low angle first:
2θ = 26.6°, intensity 46, hkl 2 0 2
2θ = 27.7°, intensity 27, hkl 0 2 0
2θ = 29.4°, intensity 100, hkl 3 1 -3
2θ = 29.5°, intensity 65, hkl 1 1 -5
2θ = 30.1°, intensity 24, hkl 3 1 -1
2θ = 30.8°, intensity 15, hkl 1 2 1
2θ = 32.3°, intensity 18, hkl 0 1 5
2θ = 38.8°, intensity 28, hkl 2 2 2
2θ = 53.3°, intensity 19, hkl 6 0 -6
2θ = 55.8°, intensity 15, hkl 2 1 7

---

Record 3
The following is a calculated powder X-ray diffraction pattern of CdTe2Pt2F2. It was derived from a crystal structure in OQMD, relaxed with PBE, using copper Kα.
Lines closer than 0.1° are merged.

a = 3.691 Å, b = 3.691 Å, c = 9.691 Å
α = 90.00°, β = 90.00°, γ = 90.00°
Space group P-4m2 (No. 115)
Unique sites:
Cd1 0.000 0.000 0.000 (multiplicity 1)
Te1 0.000 0.500 0.241 (multiplicity 2)
Pt1 0.000 0.500 0.671 (multiplicity 2)
F1 0.000 0.000 0.500 (multiplicity 1)
F2 0.500 0.500 0.500 (multiplicity 1)

The 10 most intense peaks (2θ from 15° to 90°), low angle first:
2θ = 18.3°, intensity 41, hkl 0 0 2
2θ = 27.6°, intensity 29, hkl 0 0 3
2θ = 30.4°, intensity 72, hkl 1 0 2
2θ = 34.4°, intensity 44, hkl 1 1 0
2θ = 39.2°, intensity 100, hkl 1 1 2
2θ = 44.7°, intensity 34, hkl 1 0 4
2θ = 49.4°, intensity 42, hkl 2 0 0
2θ = 53.4°, intensity 34, hkl 1 0 5
2θ = 59.1°, intensity 22, hkl 2 1 2
2θ = 75.7°, intensity 24, hkl 2 1 5

---

Record 4
The following is a calculated powder X-ray diffraction pattern of K2ReF6. It was derived from a crystal structure in OQMD, relaxed with PBE, using copper Kα.
Lines closer than 0.1° are merged.

a = 5.5602 Å, b = 5.5602 Å, c = 8.8888 Å
α = 90.00°, β = 90.00°, γ = 120.00°
Space group P6_3mc (No. 186)
Unique sites:
K1 0.0000 0.0000 0.0000 (multiplicity 2)
K2 0.3333 0.6667 0.2346 (multiplicity 2)
Re1 0.3333 0.6667 0.8522 (multiplicity 2)
F1 0.0015 0.5008 0.9807 (multiplicity 6)
F2 0.1609 0.3217 0.7352 (multiplicity 6)

The 10 most intense peaks (2θ from 15° to 90°), low angle first:
2θ = 18.4°, intensity 20, hkl 1 0 0
2θ = 20.0°, intensity 29, hkl 0 0 2
2θ = 21.0°, intensity 100, hkl 1 0 1
2θ = 27.3°, intensity 29, hkl 1 0 2
2θ = 32.2°, intensity 42, hkl 1 1 0
2θ = 35.6°, intensity 37, hkl 1 0 3
2θ = 38.2°, intensity 32, hkl 1 1 2
2θ = 42.7°, intensity 24, hkl 2 0 2
2θ = 48.7°, intensity 24, hkl 2 0 3
2θ = 51.2°, intensity 20, hkl 2 1 1

---

Record 5
The following is a calculated powder X-ray diffraction pattern of Lu2GeO4. It was derived from a crystal structure in OQMD, relaxed with PBE, using copper Kα.
Lines closer than 0.1° are merged.

a = 9.336 Å, b = 9.336 Å, c = 9.336 Å
α = 90.00°, β = 90.00°, γ = 90.00°
Space group Fd-3m (No. 227, origin choice 2)
Unique sites:
Lu1 0.000 0.000 0.000 (multiplicity 16)
Ge1 0.125 0.125 0.625 (multiplicity 8)
O1 0.013 0.013 0.237 (multiplicity 32)

The 10 most intense peaks (2θ from 15° to 90°), low angle first:
2θ = 16.4°, intensity 54, hkl 1 1 1
2θ = 31.8°, intensity 100, hkl 3 1 1
2θ = 33.2°, intensity 47, hkl 2 2 2
2θ = 38.6°, intensity 33, hkl 4 0 0
2θ = 50.8°, intensity 39, hkl 5 1 1
2θ = 55.7°, intensity 46, hkl 4 4 0
2θ = 58.5°, intensity 12, hkl 5 3 1
2θ = 65.6°, intensity 13, hkl 5 3 3
2θ = 66.4°, intensity 23, hkl 6 2 2
2θ = 78.7°, intensity 22, hkl 5 5 3

---

Record 6
The following is a calculated powder X-ray diffraction pattern of Lu4Hf2Ge3C3. It was derived from a crystal structure in OQMD, relaxed with PBE, using copper Kα.
Lines closer than 0.1° are merged.

a = 10.296 Å, b = 5.942 Å, c = 14.526 Å
α = 90.00°, β = 104.06°, γ = 90.00°
Space group C2/c (No. 15)
Unique sites:
Lu1 0.117 0.078 0.098 (multiplicity 8)
Lu2 0.214 0.087 0.402 (multiplicity 8)
Hf1 0.059 0.414 0.920 (multiplicity 8)
Ge1 0.000 0.143 0.750 (multiplicity 4)
Ge2 0.135 0.447 0.249 (multiplicity 8)
C1 0.079 0.262 0.500 (multiplicity 8)
C2 0.250 0.250 0.000 (multiplicity 4)

The 10 most intense peaks (2θ from 15° to 90°), low angle first:
2θ = 25.3°, intensity 10, hkl 0 0 4
2θ = 30.1°, intensity 38, hkl 3 1 -1
2θ = 30.8°, intensity 22, hkl 3 1 0
2θ = 35.7°, intensity 52, hkl 3 1 -4
2θ = 35.8°, intensity 100, hkl 0 2 3
2θ = 38.3°, intensity 25, hkl 0 0 6
2θ = 53.4°, intensity 32, hkl 3 3 -1
2θ = 67.5°, intensity 14, hkl 3 3 -7
2θ = 67.8°, intensity 13, hkl 3 3 5
2θ = 89.9°, intensity 9, hkl 3 5 2